Diffraction record for Pm4PrH8. The powder diffraction line list is calculated, not measured: it uses a cell relaxed with GGA-PBE and λ = 1.5418 Å (Cu Kα).
Neutral-atom scattering factors, no anomalous dispersion.

Largest 10 diffraction maxima, sorted by position, 2θ from 10° to 90°:
h k l	d/Å	Rel. int.
1 0 0	5.863	21.4
1 1 0	4.146	18.9
1 1 1	3.385	75.2
2 0 0	2.932	100.0
2 2 0	2.073	79.6
3 1 1	1.768	35.4
2 2 2	1.693	26.9
3 3 1	1.345	14.3
4 2 0	1.311	34.7
4 2 2	1.197	26.5

Structure:
```
data_Pm4PrH8
_cell_length_a 5.863
_cell_length_b 5.863
_cell_length_c 5.863
_cell_angle_alpha 90.00
_cell_angle_beta 90.00
_cell_angle_gamma 90.00
_space_group_name_H-M_alt 'P 1'
_space_group_IT_number 1
_space_group_name_Hall 'P 1'
loop_
_atom_site_label
_atom_site_type_symbol
_atom_site_fract_x
_atom_site_fract_y
_atom_site_fract_z
Pm1 Pm 0.000 0.000 0.000
Pm2 Pm 0.000 0.500 0.500
Pm3 Pm 0.500 0.000 0.500
Pm4 Pm 0.500 0.500 0.000
Pr1 Pr 0.500 0.500 0.500
H1 H 0.256 0.256 0.256
H2 H 0.256 0.256 0.744
H3 H 0.256 0.744 0.256
H4 H 0.256 0.744 0.744
H5 H 0.744 0.256 0.256
H6 H 0.744 0.256 0.744
H7 H 0.744 0.744 0.256
H8 H 0.744 0.744 0.744
```